1.
For CaNiP2Ir, DFT lattice parameters and positions (PBE) gives the calculated X-ray diffraction stick pattern in this record (λ = 1.5418 Å (Cu Kα)).
Lines closer than 0.1° are merged.

The 10 most intense peaks (10 to 80 degrees two-theta), by angle:
| two_theta | intensity | h k l |
| --- | --- | --- |
| 18.50 | 65 | 0 0 2 |
| 24.08 | 49 | 1 0 1 |
| 31.60 | 19 | 1 1 0 |
| 35.94 | 26 | 1 0 3 |
| 36.86 | 100 | 1 1 2 |
| 45.29 | 39 | 2 0 0 |
| 49.32 | 21 | 2 0 2 |
| 49.82 | 35 | 1 1 4 |
| 67.24 | 15 | 1 1 6 |
| 78.05 | 22 | 3 1 2 |

Atomic structure:
a b c (Å): 4.004 4.004 9.594
angles (deg): 90.00 90.00 90.00
Space group I-4m2 (No. 119)
Inequivalent atoms, fractional coordinates:
Ca: 0.000 0.000 0.000 [2 per cell]
Ni: 0.000 0.500 0.750 [2 per cell]
P: 0.000 0.000 0.380 [4 per cell]
Ir: 0.000 0.500 0.250 [2 per cell]



2.
For Ca3Ir4O12, DFT lattice parameters and positions (PBE) gives the calculated X-ray diffraction stick pattern in this record (λ = 1.5418 Å (Cu Kα)).
Lines closer than 0.1° are merged.

The 10 most intense peaks (10 to 80 degrees two-theta), by angle:
| two_theta | intensity | h k l |
| --- | --- | --- |
| 16.10 | 3 | 1 1 0 |
| 22.84 | 83 | 2 0 0 |
| 32.53 | 100 | 2 2 0 |
| 40.12 | 14 | 2 2 2 |
| 46.67 | 27 | 4 0 0 |
| 52.57 | 37 | 4 2 0 |
| 58.04 | 45 | 4 2 2 |
| 68.13 | 16 | 4 4 0 |
| 72.90 | 16 | 4 4 2 |
| 77.55 | 17 | 6 2 0 |

Atomic structure:
a b c (Å): 7.785 7.785 7.785
angles (deg): 90.00 90.00 90.00
Space group Im-3 (No. 204)
Inequivalent atoms, fractional coordinates:
Ca: 0.000 0.000 0.500 [6 per cell]
Ir: 0.250 0.250 0.250 [8 per cell]
O: 0.000 0.213 0.300 [24 per cell]



3.
For Ca3IrO4, DFT lattice parameters and positions (PBE) gives the calculated X-ray diffraction stick pattern in this record (λ = 1.5418 Å (Cu Kα)).
Lines closer than 0.1° are merged.

The 10 most intense peaks (10 to 80 degrees two-theta), by angle:
| two_theta | intensity | h k l |
| --- | --- | --- |
| 16.54 | 100 | 0 1 1 |
| 22.46 | 24 | 0 2 0 |
| 22.70 | 52 | 1 1 0 |
| 23.20 | 38 | 1 0 1 |
| 24.45 | 55 | 0 0 2 |
| 32.51 | 80 | 1 2 1 |
| 33.60 | 55 | 1 1 2 |
| 36.21 | 24 | 0 3 1 |
| 38.81 | 25 | 0 1 3 |
| 39.99 | 36 | 2 0 0 |

Atomic structure:
a b c (Å): 4.509 7.917 7.282
angles (deg): 90.00 90.00 90.00
Space group Pmmn (No. 59, origin choice 2)
Inequivalent atoms, fractional coordinates:
Ca: 0.250 0.022 0.157 [4 per cell]
Ca: 0.250 0.750 0.598 [2 per cell]
Ir: 0.250 0.250 0.781 [2 per cell]
O: 0.250 0.250 0.332 [2 per cell]
O: 0.250 0.502 0.808 [4 per cell]
O: 0.250 0.750 0.274 [2 per cell]



4.
For Ca4Ir6O19, DFT lattice parameters and positions (PBE) gives the calculated X-ray diffraction stick pattern in this record (λ = 1.5418 Å (Cu Kα)).
Lines closer than 0.1° are merged.

The 10 most intense peaks (10 to 80 degrees two-theta), by angle:
| two_theta | intensity | h k l |
| --- | --- | --- |
| 13.68 | 78 | 1 1 0 |
| 19.39 | 53 | 2 0 0 |
| 23.81 | 16 | 2 1 1 |
| 30.89 | 100 | 3 1 0 |
| 36.73 | 83 | 3 2 1 |
| 48.72 | 19 | 4 2 2 |
| 50.85 | 53 | 4 1 3 |
| 60.69 | 28 | 6 0 0 |
| 62.54 | 21 | 5 3 2 |
| 69.65 | 18 | 6 3 1 |

Atomic structure:
a b c (Å): 9.156 9.156 9.156
angles (deg): 90.00 90.00 90.00
Space group I23 (No. 197)
Inequivalent atoms, fractional coordinates:
Ca: 0.142 0.142 0.858 [8 per cell]
Ir: 0.000 0.336 0.500 [12 per cell]
O: 0.000 0.000 0.000 [2 per cell]
O: 0.000 0.000 0.358 [12 per cell]
O: 0.009 0.323 0.713 [24 per cell]



5.
For Ca2IrO4, DFT lattice parameters and positions (PBE) gives the calculated X-ray diffraction stick pattern in this record (λ = 1.5418 Å (Cu Kα)).
Lines closer than 0.1° are merged.

The 10 most intense peaks (10 to 80 degrees two-theta), by angle:
| two_theta | intensity | h k l |
| --- | --- | --- |
| 18.50 | 100 | 1 1 0 |
| 32.32 | 66 | 3 0 0 |
| 33.20 | 79 | 1 1 1 |
| 37.50 | 14 | 2 2 0 |
| 42.82 | 15 | 3 0 1 |
| 47.01 | 40 | 2 2 1 |
| 57.65 | 14 | 3 3 0 |
| 58.21 | 36 | 4 1 1 |
| 66.50 | 17 | 3 0 2 |
| 77.47 | 12 | 5 2 1 |

Atomic structure:
a b c (Å): 9.5941 9.5941 3.2642
angles (deg): 90.00 90.00 120.00
Space group P-62m (No. 189)
Inequivalent atoms, fractional coordinates:
Ca: 0.0000 0.0000 0.0000 [1 per cell]
Ca: 0.0000 0.6814 0.5000 [3 per cell]
Ca: 0.3333 0.6667 0.5000 [2 per cell]
Ir: 0.0000 0.3184 0.0000 [3 per cell]
O: 0.0000 0.1801 0.5000 [3 per cell]
O: 0.0000 0.4424 0.5000 [3 per cell]
O: 0.1987 0.7541 0.0000 [6 per cell]



6.
For CaPr2IrO6, DFT lattice parameters and positions (PBE) gives the calculated X-ray diffraction stick pattern in this record (λ = 1.5418 Å (Cu Kα)).
Lines closer than 0.1° are merged.

The 10 most intense peaks (10 to 80 degrees two-theta), by angle:
| two_theta | intensity | h k l |
| --- | --- | --- |
| 18.35 | 39 | 0 1 1 |
| 18.96 | 28 | 1 0 0 |
| 29.76 | 41 | 0 2 0 |
| 30.68 | 100 | 1 1 1 |
| 31.04 | 98 | 1 1 -3 |
| 31.66 | 45 | 2 0 -2 |
| 44.01 | 36 | 2 2 -2 |
| 44.41 | 25 | 0 0 4 |
| 55.56 | 21 | 3 1 -1 |
| 56.22 | 22 | 3 1 -5 |

Atomic structure:
a b c (Å): 5.653 6.003 9.856
angles (deg): 90.00 124.11 90.00
Space group P2_1/c (No. 14)
Inequivalent atoms, fractional coordinates:
Ca: 0.000 0.000 0.000 [2 per cell]
Pr: 0.272 0.066 0.749 [4 per cell]
Ir: 0.500 0.000 0.500 [2 per cell]
O: 0.148 0.047 0.268 [4 per cell]
O: 0.265 0.687 0.057 [4 per cell]
O: 0.390 0.213 0.065 [4 per cell]



7.
For Rb2Ca2IrO6, DFT lattice parameters and positions (PBE) gives the calculated X-ray diffraction stick pattern in this record (λ = 1.5418 Å (Cu Kα)).
Lines closer than 0.1° are merged.

The 10 most intense peaks (10 to 80 degrees two-theta), by angle:
| two_theta | intensity | h k l |
| --- | --- | --- |
| 13.50 | 40 | 0 0 1 |
| 18.07 | 100 | 1 1 0 |
| 22.44 | 61 | 0 2 1 |
| 27.20 | 48 | 0 0 2 |
| 28.78 | 27 | 1 1 -2 |
| 31.71 | 27 | 2 0 0 |
| 32.32 | 51 | 1 3 -1 |
| 35.61 | 40 | 2 0 -2 |
| 36.04 | 78 | 1 3 1 |
| 48.68 | 26 | 1 3 -3 |

Atomic structure:
a b c (Å): 5.886 9.942 6.838
angles (deg): 90.00 106.48 90.00
Space group C2/m (No. 12)
Inequivalent atoms, fractional coordinates:
Rb: 0.000 0.170 0.000 [4 per cell]
Ca: 0.000 0.336 0.500 [4 per cell]
Ir: 0.000 0.000 0.500 [2 per cell]
O: 0.197 0.144 0.667 [8 per cell]
O: 0.224 0.000 0.331 [4 per cell]



8.
For CaSi2IrO8, DFT lattice parameters and positions (PBE) gives the calculated X-ray diffraction stick pattern in this record (λ = 1.5418 Å (Cu Kα)).
Lines closer than 0.1° are merged.

The 10 most intense peaks (10 to 80 degrees two-theta), by angle:
| two_theta | intensity | h k l |
| --- | --- | --- |
| 13.45 | 35 | 0 0 1 |
| 19.41 | 91 | 1 0 0 |
| 23.69 | 100 | 1 0 1 |
| 33.55 | 61 | 1 0 2 |
| 33.95 | 46 | 1 1 0 |
| 43.96 | 28 | 1 1 2 |
| 48.47 | 32 | 2 0 2 |
| 54.91 | 19 | 2 1 1 |
| 60.49 | 23 | 2 1 2 |
| 67.01 | 15 | 1 1 4 |

Atomic structure:
a b c (Å): 5.2815 5.2815 6.5815
angles (deg): 90.00 90.00 120.00
Space group P-3m1 (No. 164)
Inequivalent atoms, fractional coordinates:
Ca: 0.0000 0.0000 0.0000 [1 per cell]
Si: 0.3333 0.6667 0.2335 [2 per cell]
Ir: 0.0000 0.0000 0.5000 [1 per cell]
O: 0.1646 0.3292 0.3173 [6 per cell]
O: 0.3333 0.6667 0.9912 [2 per cell]



9.
For Ca2SnIrO8, DFT lattice parameters and positions (PBE) gives the calculated X-ray diffraction stick pattern in this record (λ = 1.5418 Å (Cu Kα)).
Lines closer than 0.1° are merged.

The 10 most intense peaks (10 to 80 degrees two-theta), by angle:
| two_theta | intensity | h k l |
| --- | --- | --- |
| 17.51 | 100 | 1 1 0 |
| 24.25 | 72 | 0 2 0 |
| 25.44 | 56 | 2 0 0 |
| 32.42 | 96 | 1 1 2 |
| 35.44 | 25 | 2 2 0 |
| 36.66 | 29 | 0 2 2 |
| 40.56 | 16 | 3 1 0 |
| 48.12 | 49 | 1 3 2 |
| 49.45 | 36 | 3 1 2 |
| 61.73 | 36 | 3 3 2 |

Atomic structure:
a b c (Å): 7.002 7.340 6.587
angles (deg): 90.00 90.00 90.00
Space group Cmmm (No. 65)
Inequivalent atoms, fractional coordinates:
Ca: 0.000 0.000 0.248 [4 per cell]
Sn: 0.000 0.500 0.000 [2 per cell]
Ir: 0.000 0.500 0.500 [2 per cell]
O: 0.000 0.325 0.281 [8 per cell]
O: 0.221 0.000 0.000 [4 per cell]
O: 0.236 0.000 0.500 [4 per cell]



10.
For Sr2Ca2IrO6, DFT lattice parameters and positions (PBE) gives the calculated X-ray diffraction stick pattern in this record (λ = 1.5418 Å (Cu Kα)).
Lines closer than 0.1° are merged.

The 10 most intense peaks (10 to 80 degrees two-theta), by angle:
| two_theta | intensity | h k l |
| --- | --- | --- |
| 18.27 | 52 | 0 2 0 |
| 18.65 | 19 | 2 0 0 |
| 18.79 | 59 | 1 1 1 |
| 29.77 | 14 | 2 2 1 |
| 31.92 | 100 | 2 0 -2 |
| 38.10 | 20 | 2 2 2 |
| 41.86 | 22 | 2 4 0 |
| 42.31 | 15 | 4 2 0 |
| 42.46 | 16 | 3 3 1 |
| 42.66 | 13 | 1 1 3 |

Atomic structure:
a b c (Å): 9.525 9.699 6.760
angles (deg): 90.00 92.27 90.00
Space group C2 (No. 5)
Inequivalent atoms, fractional coordinates:
Sr: 0.000 0.000 0.000 [2 per cell]
Sr: 0.000 0.229 0.500 [2 per cell]
Sr: 0.181 0.546 0.637 [4 per cell]
Ca: 0.000 0.364 0.000 [2 per cell]
Ca: 0.000 0.865 0.500 [2 per cell]
Ca: 0.177 0.686 0.143 [4 per cell]
Ir: 0.248 0.863 0.753 [4 per cell]
O: 0.064 0.758 0.806 [4 per cell]
O: 0.071 0.472 0.295 [4 per cell]
O: 0.134 0.036 0.674 [4 per cell]
O: 0.135 0.194 0.167 [4 per cell]
O: 0.232 0.797 0.460 [4 per cell]
O: 0.238 0.420 0.956 [4 per cell]



11.
For SrCa3IrO6, DFT lattice parameters and positions (PBE) gives the calculated X-ray diffraction stick pattern in this record (λ = 1.5418 Å (Cu Kα)).
Lines closer than 0.1° are merged.

The 10 most intense peaks (10 to 80 degrees two-theta), by angle:
| two_theta | intensity | h k l |
| --- | --- | --- |
| 18.39 | 36 | 0 2 0 |
| 18.59 | 85 | 1 1 -1 |
| 18.86 | 79 | 1 1 1 |
| 19.12 | 57 | 2 0 0 |
| 26.61 | 31 | 0 0 2 |
| 29.98 | 28 | 1 1 2 |
| 32.26 | 100 | 1 3 -1 |
| 32.60 | 46 | 2 0 -2 |
| 38.26 | 37 | 2 2 2 |
| 42.79 | 31 | 1 1 3 |

Atomic structure:
a b c (Å): 9.286 9.647 6.716
angles (deg): 90.00 91.14 90.00
Space group C2 (No. 5)
Inequivalent atoms, fractional coordinates:
Sr: 0.184 0.000 0.135 [4 per cell]
Ca: 0.000 0.180 0.500 [2 per cell]
Ca: 0.000 0.325 0.000 [2 per cell]
Ca: 0.000 0.538 0.500 [2 per cell]
Ca: 0.000 0.682 0.000 [2 per cell]
Ca: 0.180 0.859 0.639 [4 per cell]
Ir: 0.247 0.682 0.253 [4 per cell]
O: 0.062 0.789 0.306 [4 per cell]
O: 0.070 0.070 0.795 [4 per cell]
O: 0.125 0.509 0.180 [4 per cell]
O: 0.128 0.351 0.671 [4 per cell]
O: 0.241 0.751 0.960 [4 per cell]
O: 0.247 0.121 0.456 [4 per cell]